Theoretical X-ray powder pattern of KNpSn for copper Kα, from a GGA-PBE-relaxed structure.
Intensities are scaled so that the largest is 100.

Largest 8 diffraction maxima, sorted by position, 15 to 90 degrees two-theta:
| two_theta | d/Å | I/Imax |
| --- | --- | --- |
| 20.7 | 4.296 | 20 |
| 23.9 | 3.720 | 75 |
| 34.1 | 2.631 | 100 |
| 42.1 | 2.148 | 24 |
| 49.0 | 1.860 | 18 |
| 55.2 | 1.664 | 34 |
| 61.0 | 1.519 | 38 |
| 81.9 | 1.176 | 17 |

Crystal structure
```
12
Lattice="7.441 0.000 0.000 0.000 7.441 0.000 0.000 0.000 7.441" Properties=species:S:1:pos:R:3 pbc="T T T"
K 0.000 0.000 0.000
K 0.000 3.720 3.720
K 3.720 0.000 3.720
K 3.720 3.720 0.000
Np 1.860 1.860 5.581
Np 1.860 5.581 1.860
Np 5.581 1.860 1.860
Np 5.581 5.581 5.581
Sn 1.860 1.860 1.860
Sn 1.860 5.581 5.581
Sn 5.581 1.860 5.581
Sn 5.581 5.581 1.860
```